Entry 1:
For SrSm3, a DFT-relaxed cell (PBE, Alexandria) gives the computed XRD peak list in this record (λ = 1.5418 Å (Cu Kα)).
Intensities are scaled so that the largest is 100.

Crystal structure
Cell lengths 5.2862, 5.2862, 5.2862 Å; angles 90.00, 90.00, 90.00 degrees
Fractional coordinates of all 4 atoms:
Sr: 0.0000 0.0000 0.0000
Sm: 0.0000 0.5000 0.5000
Sm: 0.5000 0.0000 0.5000
Sm: 0.5000 0.5000 0.0000

Principal peaks in the range 2θ from 10° to 90°, in order of falling intensity:
Position (°2θ), Rel. int.
29.3, 100
33.9, 51
57.9, 44
48.7, 37
78.9, 18
81.4, 16
60.7, 13
71.4, 6
16.8, 4
23.8, 3


Entry 2:
For Ac5Pm2Pr12, a DFT-relaxed cell (PBE, Alexandria) gives the computed XRD peak list in this record (λ = 1.5418 Å (Cu Kα)).
Intensities are scaled so that the largest is 100.

Crystal structure
Cell lengths 12.2457, 12.2457, 9.1086 Å; angles 109.65, 109.65, 35.41 degrees
Fractional coordinates of all 19 atoms:
Ac: 0.0000 0.0000 0.0000
Ac: 0.2455 0.2455 0.9854
Ac: 0.3478 0.3478 0.4102
Ac: 0.6522 0.6522 0.5898
Ac: 0.7545 0.7545 0.0146
Pm: 0.2573 0.7427 0.5000
Pm: 0.7427 0.2573 0.5000
Pr: 0.0541 0.5480 0.7104
Pr: 0.1409 0.1409 0.5521
Pr: 0.1558 0.6331 0.1225
Pr: 0.3669 0.8442 0.8775
Pr: 0.4520 0.9459 0.2896
Pr: 0.4531 0.4531 0.8078
Pr: 0.5469 0.5469 0.1922
Pr: 0.5480 0.0541 0.7104
Pr: 0.6331 0.1558 0.1225
Pr: 0.8442 0.3669 0.8775
Pr: 0.8591 0.8591 0.4479
Pr: 0.9459 0.4520 0.2896

Principal peaks in the range 2θ from 10° to 90°, in order of falling intensity:
Position (°2θ), Rel. int.
28.8, 100
34.8, 42
29.9, 40
32.1, 36
29.6, 31
59.7, 22
48.3, 17
55.2, 15
47.9, 15
31.9, 14